No. 1
Diffraction record for Tb4Dy5Zr. The X-ray powder pattern is computed, not measured: it uses DFT lattice parameters and positions (PBE) and Cu Kα X-rays.
Lines closer than 0.1° are merged.

Structural model:
abc: 6.082 3.505 14.454
angles: 90.00 98.12 90.00
Space group P2/m (No. 10)
Inequivalent atoms, fractional coordinates:
Tb: 0.098 0.000 0.309 (multiplicity 2)
Tb: 0.394 0.500 0.696 (multiplicity 2)
Dy: 0.200 0.500 0.101 (multiplicity 2)
Dy: 0.300 0.000 0.900 (multiplicity 2)
Dy: 0.500 0.000 0.500 (multiplicity 1)
Zr: 0.000 0.500 0.500 (multiplicity 1)

Largest 6 diffraction maxima, in order of falling intensity, 10° ≤ 2θ ≤ 90°:
2θ 31.2, I 100, (2 0 1); 2θ 36.2, I 50, (1 1 3); 2θ 52.2, I 35, (0 2 0); 2θ 62.0, I 21, (4 0 -3); 2θ 62.1, I 21, (2 2 1); 2θ 65.2, I 12, (4 0 2)

***

No. 2
Diffraction record for EuErMgPd. The X-ray powder pattern is computed, not measured: it uses DFT lattice parameters and positions (PBE) and Cu Kα X-rays.
Lines closer than 0.1° are merged.

Structural model:
abc: 7.360 7.360 7.360
angles: 90.00 90.00 90.00
Space group F-43m (No. 216)
Inequivalent atoms, fractional coordinates:
Eu: 0.000 0.000 0.000 (multiplicity 4)
Er: 0.000 0.000 0.500 (multiplicity 4)
Mg: 0.250 0.250 0.250 (multiplicity 4)
Pd: 0.250 0.250 0.750 (multiplicity 4)

Largest 6 diffraction maxima, in order of falling intensity, 10° ≤ 2θ ≤ 90°:
2θ 34.5, I 100, (2 2 0); 2θ 61.8, I 37, (4 2 2); 2θ 24.2, I 20, (2 0 0); 2θ 49.5, I 18, (4 0 0); 2θ 83.0, I 16, (6 2 0); 2θ 72.7, I 11, (4 4 0)

***

No. 3
Diffraction record for Pm2MnGe6Ir. The X-ray powder pattern is computed, not measured: it uses DFT lattice parameters and positions (PBE) and Cu Kα X-rays.
Lines closer than 0.1° are merged.

Structural model:
abc: 7.6070 7.6070 26.5853
angles: 90.00 90.00 120.00
Space group R-3m (No. 166, hexagonal axes)
Inequivalent atoms, fractional coordinates:
Pm: 0.0000 0.0000 0.1337 (multiplicity 6)
Pm: 0.0000 0.0000 0.2831 (multiplicity 6)
Mn: 0.0000 0.0000 0.0000 (multiplicity 3)
Mn: 0.0000 0.0000 0.5000 (multiplicity 3)
Ge: 0.0169 0.5084 0.1194 (multiplicity 18)
Ge: 0.0275 0.5138 0.7148 (multiplicity 18)
Ir: 0.0000 0.0000 0.3914 (multiplicity 6)

Largest 6 diffraction maxima, in order of falling intensity, 10° ≤ 2θ ≤ 90°:
2θ 23.4, I 100, (1 1 0); 2θ 47.8, I 87, (2 2 0); 2θ 36.1, I 77, (0 2 7); 2θ 32.0, I 46, (2 0 5); 2θ 38.5, I 40, (2 0 8); 2θ 38.6, I 39, (1 1 9)

***

No. 4
Diffraction record for Zr3Se5. The X-ray powder pattern is computed, not measured: it uses DFT lattice parameters and positions (PBE) and Cu Kα X-rays.
Lines closer than 0.1° are merged.

Structural model:
abc: 6.528 6.961 8.309
angles: 84.44 74.31 79.42
Space group P-1 (No. 2)
Inequivalent atoms, fractional coordinates:
Zr: 0.066 0.281 0.418 (multiplicity 2)
Zr: 0.247 0.497 0.007 (multiplicity 2)
Zr: 0.350 0.005 0.788 (multiplicity 2)
Se: 0.027 0.179 0.110 (multiplicity 2)
Se: 0.113 0.381 0.720 (multiplicity 2)
Se: 0.293 0.913 0.481 (multiplicity 2)
Se: 0.405 0.806 0.082 (multiplicity 2)
Se: 0.444 0.380 0.278 (multiplicity 2)

Largest 6 diffraction maxima, in order of falling intensity, 10° ≤ 2θ ≤ 90°:
2θ 34.5, I 100, (2 1 -1); 2θ 33.0, I 99, (1 -2 1); 2θ 31.9, I 71, (1 -2 0); 2θ 43.1, I 70, (1 3 -1); 2θ 37.3, I 70, (2 2 2); 2θ 34.0, I 68, (1 1 3)

***

No. 5
Diffraction record for Th3Tc2Ge7. The X-ray powder pattern is computed, not measured: it uses DFT lattice parameters and positions (PBE) and Cu Kα X-rays.
Lines closer than 0.1° are merged.

Structural model:
abc: 4.424 4.365 13.260
angles: 90.00 99.60 90.00
Space group P2/m (No. 10)
Inequivalent atoms, fractional coordinates:
Th: 0.000 0.000 0.000 (multiplicity 1)
Th: 0.318 0.500 0.633 (multiplicity 2)
Tc: 0.129 0.000 0.256 (multiplicity 2)
Ge: 0.086 0.500 0.171 (multiplicity 2)
Ge: 0.220 0.000 0.443 (multiplicity 2)
Ge: 0.414 0.000 0.828 (multiplicity 2)
Ge: 0.500 0.500 0.000 (multiplicity 1)

Largest 6 diffraction maxima, in order of falling intensity, 10° ≤ 2θ ≤ 90°:
2θ 33.5, I 100, (1 1 -3); 2θ 34.3, I 47, (0 1 4); 2θ 41.4, I 34, (0 2 0); 2θ 40.8, I 32, (2 0 -1); 2θ 28.9, I 30, (1 1 0); 2θ 54.3, I 28, (2 1 -5)

***

No. 6
Diffraction record for Bi3ClO4. The X-ray powder pattern is computed, not measured: it uses DFT lattice parameters and positions (PBE) and Cu Kα X-rays.
Lines closer than 0.1° are merged.

Structural model:
abc: 19.610 5.795 5.797
angles: 90.00 106.75 90.00
Space group C2/c (No. 15)
Inequivalent atoms, fractional coordinates:
Bi: 0.000 0.205 0.250 (multiplicity 4)
Bi: 0.145 0.296 0.844 (multiplicity 8)
Cl: 0.250 0.250 0.500 (multiplicity 4)
O: 0.066 0.066 0.635 (multiplicity 8)
O: 0.090 0.458 0.075 (multiplicity 8)

Largest 6 diffraction maxima, in order of falling intensity, 10° ≤ 2θ ≤ 90°:
2θ 28.8, I 100, (3 1 1); 2θ 29.0, I 68, (5 1 -1); 2θ 23.7, I 63, (3 1 -1); 2θ 30.9, I 57, (2 0 -2); 2θ 53.6, I 38, (1 1 3); 2θ 44.2, I 23, (2 2 -2)

***

No. 7
Diffraction record for LiDyAl4. The X-ray powder pattern is computed, not measured: it uses DFT lattice parameters and positions (PBE) and Cu Kα X-rays.
Lines closer than 0.1° are merged.

Structural model:
abc: 5.5198 5.5198 8.8239
angles: 90.00 90.00 120.00
Space group P-3m1 (No. 164)
Inequivalent atoms, fractional coordinates:
Li: 0.3333 0.6667 0.4453 (multiplicity 2)
Dy: 0.3333 0.6667 0.0746 (multiplicity 2)
Al: 0.0000 0.0000 0.0000 (multiplicity 1)
Al: 0.0000 0.0000 0.5000 (multiplicity 1)
Al: 0.1708 0.3416 0.7488 (multiplicity 6)

Largest 6 diffraction maxima, in order of falling intensity, 10° ≤ 2θ ≤ 90°:
2θ 10.0, I 100, (0 0 1); 2θ 35.8, I 45, (1 0 3); 2θ 27.5, I 42, (1 0 2); 2θ 21.1, I 38, (1 0 1); 2θ 34.0, I 36, (1 1 1); 2θ 38.5, I 31, (1 1 2)

***

No. 8
Diffraction record for CoHg2Pt. The X-ray powder pattern is computed, not measured: it uses DFT lattice parameters and positions (PBE) and Cu Kα X-rays.
Lines closer than 0.1° are merged.

Structural model:
abc: 2.860 4.605 11.200
angles: 90.00 90.00 90.00
Space group Imm2 (No. 44)
Inequivalent atoms, fractional coordinates:
Co: 0.000 0.000 0.000 (multiplicity 2)
Hg: 0.000 0.000 0.506 (multiplicity 2)
Hg: 0.000 0.500 0.715 (multiplicity 2)
Pt: 0.000 0.500 0.313 (multiplicity 2)

Largest 6 diffraction maxima, in order of falling intensity, 10° ≤ 2θ ≤ 90°:
2θ 40.5, I 100, (1 1 2); 2θ 30.8, I 62, (0 1 3); 2θ 39.1, I 35, (0 2 0); 2θ 32.0, I 21, (0 0 4); 2θ 51.8, I 21, (1 0 5); 2θ 66.8, I 20, (1 2 5)

***

No. 9
Diffraction record for Er4Br. The X-ray powder pattern is computed, not measured: it uses DFT lattice parameters and positions (PBE) and Cu Kα X-rays.
Lines closer than 0.1° are merged.

Structural model:
abc: 5.368 5.368 5.368
angles: 90.00 90.00 90.00
Space group Pm-3m (No. 221)
Inequivalent atoms, fractional coordinates:
Er: 0.000 0.000 0.000 (multiplicity 1)
Er: 0.000 0.500 0.500 (multiplicity 3)
Br: 0.500 0.500 0.500 (multiplicity 1)

Largest 6 diffraction maxima, in order of falling intensity, 10° ≤ 2θ ≤ 90°:
2θ 28.8, I 100, (1 1 1); 2θ 33.4, I 84, (2 0 0); 2θ 47.9, I 62, (2 2 0); 2θ 56.9, I 45, (3 1 1); 2θ 79.9, I 28, (4 2 0); 2θ 89.4, I 22, (4 2 2)

***

No. 10
Diffraction record for NaAc5In6. The X-ray powder pattern is computed, not measured: it uses DFT lattice parameters and positions (PBE) and Cu Kα X-rays.
Lines closer than 0.1° are merged.

Structural model:
abc: 5.716 8.143 17.375
angles: 90.00 90.00 90.00
Space group Immm (No. 71)
Inequivalent atoms, fractional coordinates:
Na: 0.000 0.000 0.000 (multiplicity 2)
Ac: 0.000 0.000 0.333 (multiplicity 4)
Ac: 0.000 0.500 0.000 (multiplicity 2)
Ac: 0.000 0.500 0.337 (multiplicity 4)
In: 0.000 0.243 0.162 (multiplicity 8)
In: 0.000 0.263 0.500 (multiplicity 4)

Largest 6 diffraction maxima, in order of falling intensity, 10° ≤ 2θ ≤ 90°:
2θ 31.1, I 100, (1 2 3); 2θ 44.5, I 28, (2 0 6); 2θ 30.9, I 25, (0 0 6); 2θ 31.3, I 25, (2 0 0); 2θ 55.0, I 20, (1 2 9); 2θ 55.6, I 19, (3 2 3)

***

No. 11
Diffraction record for NaSm2Ge4Pt3. The X-ray powder pattern is computed, not measured: it uses DFT lattice parameters and positions (PBE) and Cu Kα X-rays.
Lines closer than 0.1° are merged.

Structural model:
abc: 4.333 4.333 10.571
angles: 90.00 90.00 90.00
Space group P-4m2 (No. 115)
Inequivalent atoms, fractional coordinates:
Na: 0.000 0.000 0.000 (multiplicity 1)
Sm: 0.000 0.500 0.745 (multiplicity 2)
Ge: 0.000 0.000 0.500 (multiplicity 1)
Ge: 0.000 0.500 0.146 (multiplicity 2)
Ge: 0.500 0.500 0.500 (multiplicity 1)
Pt: 0.000 0.500 0.378 (multiplicity 2)
Pt: 0.500 0.500 0.000 (multiplicity 1)

Largest 6 diffraction maxima, in order of falling intensity, 10° ≤ 2θ ≤ 90°:
2θ 33.8, I 100, (1 1 2); 2θ 32.8, I 100, (1 0 3); 2θ 41.7, I 85, (2 0 0); 2θ 54.0, I 49, (2 1 3); 2θ 47.9, I 40, (1 0 5); 2θ 29.1, I 34, (1 1 0)

***

No. 12
Diffraction record for CsRb3Hg4Cl12. The X-ray powder pattern is computed, not measured: it uses DFT lattice parameters and positions (PBE) and Cu Kα X-rays.
Lines closer than 0.1° are merged.

Structural model:
abc: 15.9368 15.9368 12.3880
angles: 90.00 90.00 120.00
Space group R32 (No. 155, hexagonal axes)
Inequivalent atoms, fractional coordinates:
Cs: 0.0000 0.0000 0.0000 (multiplicity 3)
Rb: 0.0000 0.5372 0.0000 (multiplicity 9)
Hg: 0.0000 0.0000 0.5000 (multiplicity 3)
Hg: 0.0000 0.4595 0.5000 (multiplicity 9)
Cl: 0.0000 0.6138 0.5000 (multiplicity 9)
Cl: 0.0000 0.8469 0.5000 (multiplicity 9)
Cl: 0.0215 0.1966 0.1669 (multiplicity 18)

Largest 6 diffraction maxima, in order of falling intensity, 10° ≤ 2θ ≤ 90°:
2θ 19.3, I 100, (2 0 2); 2θ 22.3, I 40, (2 2 0); 2θ 31.7, I 34, (0 2 4); 2θ 39.1, I 22, (6 0 0); 2θ 14.7, I 22, (0 2 1); 2θ 29.6, I 20, (0 4 2)